# 1
Computed powder diffraction line list
Compound: Na2CrWN4
Radiation: Cu Ka
Structure: a cell relaxed with GGA-PBE
Intensities are scaled so that the largest is 100.

Structural model:
```
16
Lattice="6.471 0.000 0.000 0.000 6.066 0.000 0.000 0.000 5.834" Properties=species:S:1:pos:R:3 pbc="T T T"
Na 1.606 1.407 0.000
Na 1.629 4.659 2.917
Na 4.842 4.659 2.917
Na 4.865 1.407 0.000
Cr 0.000 4.173 5.833
Cr 3.236 1.893 2.915
W 0.000 1.952 2.916
W 3.236 4.114 5.833
N 0.000 3.060 4.423
N 0.000 3.068 1.415
N 1.584 5.085 5.828
N 1.652 0.981 2.911
N 3.236 2.998 4.332
N 3.236 3.006 1.506
N 4.820 0.981 2.911
N 4.888 5.085 5.828
```

Principal peaks in the range 15 to 90 degrees two-theta, sorted by position:
2θ 20.06, 4.426 Å, intensity 37; 2θ 20.50, 4.333 Å, intensity 43; 2θ 21.13, 4.205 Å, intensity 100; 2θ 27.57, 3.236 Å, intensity 25; 2θ 30.65, 2.917 Å, intensity 44; 2θ 31.33, 2.855 Å, intensity 23; 2θ 33.29, 2.691 Å, intensity 24; 2θ 34.99, 2.564 Å, intensity 88; 2θ 43.02, 2.102 Å, intensity 24; 2θ 43.75, 2.069 Å, intensity 30; 2θ 57.32, 1.607 Å, intensity 21; 2θ 62.87, 1.478 Å, intensity 24



# 2
Computed powder diffraction line list
Compound: Rb2TaCu2S6
Radiation: Cu Ka
Structure: a cell relaxed with GGA-PBE
Intensities are scaled so that the largest is 100.

Structural model:
```
11
Lattice="3.494 2.017 6.849 -3.494 2.017 6.849 0.000 -4.034 6.849" Properties=species:S:1:pos:R:3 pbc="T T T"
Rb 0.000 0.000 4.613
Rb 0.000 0.000 15.933
Ta 0.000 0.000 0.000
Cu 0.000 0.000 8.246
Cu 0.000 0.000 12.300
S 0.000 -2.158 8.409
S -1.869 1.079 8.409
S -1.869 -1.079 12.137
S 1.869 1.079 8.409
S 1.869 -1.079 12.137
S 0.000 2.158 12.137
```

Principal peaks in the range 15 to 90 degrees two-theta, sorted by position:
2θ 15.26, 5.805 Å, intensity 25; 2θ 17.01, 5.214 Å, intensity 25; 2θ 25.50, 3.494 Å, intensity 100; 2θ 26.21, 3.399 Å, intensity 99; 2θ 34.40, 2.607 Å, intensity 40; 2θ 36.89, 2.436 Å, intensity 33; 2θ 44.94, 2.017 Å, intensity 21; 2θ 45.38, 1.998 Å, intensity 56; 2θ 46.37, 1.958 Å, intensity 21; 2θ 52.38, 1.747 Å, intensity 33; 2θ 59.48, 1.554 Å, intensity 23; 2θ 60.57, 1.529 Å, intensity 23



# 3
Computed powder diffraction line list
Compound: Zr3Ni8
Radiation: Cu Ka
Structure: a cell relaxed with GGA-PBE
Intensities are scaled so that the largest is 100.

Structural model:
```
11
Lattice="4.166 0.000 0.000 0.000 4.884 0.000 -0.123 -0.043 7.796" Properties=species:S:1:pos:R:3 pbc="T T T"
Zr 0.000 0.000 0.000
Zr -0.062 2.420 3.898
Zr 2.021 -0.022 3.898
Ni -0.060 4.853 5.294
Ni -0.059 2.404 6.524
Ni 2.025 1.260 1.620
Ni 2.025 3.612 1.605
Ni 2.017 1.228 6.192
Ni 2.017 3.581 6.176
Ni 4.101 2.436 1.272
Ni 4.102 -0.013 2.503
```

Principal peaks in the range 15 to 90 degrees two-theta, sorted by position:
2θ 30.32, 2.948 Å, intensity 19; 2θ 34.51, 2.599 Å, intensity 20; 2θ 36.81, 2.442 Å, intensity 21; 2θ 39.18, 2.300 Å, intensity 22; 2θ 39.36, 2.289 Å, intensity 23; 2θ 42.93, 2.107 Å, intensity 100; 2θ 43.45, 2.083 Å, intensity 82; 2θ 44.75, 2.025 Å, intensity 38; 2θ 44.92, 2.018 Å, intensity 32; 2θ 45.31, 2.001 Å, intensity 32; 2θ 45.48, 1.994 Å, intensity 30; 2θ 72.11, 1.310 Å, intensity 21



# 4
Computed powder diffraction line list
Compound: Pr6PdBr8
Radiation: Cu Ka
Structure: a cell relaxed with GGA-PBE
Intensities are scaled so that the largest is 100.

Structural model:
```
15
Lattice="3.696 2.134 10.925 -3.696 2.134 10.925 0.000 -4.268 10.925" Properties=species:S:1:pos:R:3 pbc="T T T"
Pr -1.158 -2.257 12.658
Pr -2.534 -0.125 20.116
Pr -1.376 2.132 12.658
Pr 1.376 -2.132 20.116
Pr 2.534 0.125 12.658
Pr 1.158 2.257 20.116
Pd 0.000 0.000 0.000
Br -2.441 -0.044 14.471
Br -1.182 -2.135 18.304
Br 0.000 0.000 10.923
Br 1.258 -2.092 14.471
Br -1.258 2.092 18.304
Br 0.000 0.000 21.852
Br 1.182 2.135 14.471
Br 2.441 0.044 18.304
```

Principal peaks in the range 15 to 90 degrees two-theta, sorted by position:
2θ 24.08, 3.696 Å, intensity 9; 2θ 25.44, 3.501 Å, intensity 8; 2θ 29.17, 3.061 Å, intensity 100; 2θ 34.58, 2.594 Å, intensity 11; 2θ 41.09, 2.197 Å, intensity 37; 2θ 42.36, 2.134 Å, intensity 33; 2θ 50.09, 1.821 Å, intensity 8; 2θ 52.26, 1.751 Å, intensity 18; 2θ 60.49, 1.531 Å, intensity 11; 2θ 67.64, 1.385 Å, intensity 16; 2θ 69.45, 1.353 Å, intensity 15; 2θ 76.61, 1.244 Å, intensity 11



# 5
Computed powder diffraction line list
Compound: Li3TbCu3
Radiation: Cu Ka
Structure: a cell relaxed with GGA-PBE
Intensities are scaled so that the largest is 100.

Structural model:
```
14
Lattice="6.358 0.000 0.000 0.000 6.358 0.000 0.000 0.000 6.358" Properties=species:S:1:pos:R:3 pbc="T T T"
Li 0.000 1.589 3.179
Li 0.000 4.768 3.179
Li 1.589 3.179 0.000
Li 3.179 0.000 1.589
Li 3.179 0.000 4.768
Li 4.768 3.179 0.000
Tb 0.000 0.000 0.000
Tb 3.179 3.179 3.179
Cu 0.000 3.179 1.589
Cu 0.000 3.179 4.768
Cu 1.589 0.000 3.179
Cu 3.179 1.589 0.000
Cu 3.179 4.768 0.000
Cu 4.768 0.000 3.179
```

Principal peaks in the range 15 to 90 degrees two-theta, sorted by position:
2θ 19.75, 4.496 Å, intensity 25; 2θ 28.07, 3.179 Å, intensity 43; 2θ 31.46, 2.843 Å, intensity 40; 2θ 34.56, 2.595 Å, intensity 100; 2θ 51.85, 1.763 Å, intensity 9; 2θ 53.96, 1.699 Å, intensity 55; 2θ 58.03, 1.589 Å, intensity 15; 2θ 65.68, 1.422 Å, intensity 15; 2θ 67.51, 1.387 Å, intensity 8; 2θ 69.33, 1.355 Å, intensity 13; 2θ 83.24, 1.161 Å, intensity 15; 2θ 86.62, 1.124 Å, intensity 9



# 6
Computed powder diffraction line list
Compound: La3NdTh2
Radiation: Cu Ka
Structure: a cell relaxed with GGA-PBE
Intensities are scaled so that the largest is 100.

Structural model:
```
12
Lattice="3.467 -9.025 0.000 3.467 9.025 0.000 -0.034 0.000 6.736" Properties=species:S:1:pos:R:3 pbc="T T T"
La 1.695 3.097 4.853
La 3.441 6.406 5.052
La 1.712 -3.097 1.485
La 5.187 3.097 5.250
La 3.458 -6.406 1.684
La 5.204 -3.097 1.882
Nd 3.458 2.605 1.684
Nd 3.441 -2.605 5.052
Th 1.692 0.189 6.354
Th 1.709 -0.189 2.986
Th 5.190 0.189 3.749
Th 5.207 -0.189 0.382
```

Principal peaks in the range 15 to 90 degrees two-theta, sorted by position:
2θ 25.70, 3.467 Å, intensity 30; 2θ 27.56, 3.236 Å, intensity 34; 2θ 28.28, 3.155 Å, intensity 75; 2θ 29.70, 3.008 Å, intensity 84; 2θ 30.59, 2.922 Å, intensity 55; 2θ 30.71, 2.912 Å, intensity 55; 2θ 32.58, 2.749 Å, intensity 75; 2θ 33.05, 2.710 Å, intensity 25; 2θ 33.19, 2.700 Å, intensity 100; 2θ 39.66, 2.273 Å, intensity 29; 2θ 50.10, 1.821 Å, intensity 34; 2θ 52.79, 1.734 Å, intensity 32